Structure and calculated X-ray powder pattern of HgOF (the GGA-PBE geometry in Alexandria; a wavelength of 1.5418 Å).

Structural model:
```
data_HgOF
_chemical_formula_sum 'Hg4 O4 F4'
_symmetry_space_group_name_H-M 'C 1 2/m 1'
_symmetry_Int_Tables_number 12
_cell_length_a 7.402
_cell_length_b 4.063
_cell_length_c 6.102
_cell_angle_alpha 90.00
_cell_angle_beta 96.93
_cell_angle_gamma 90.00
loop_
_symmetry_equiv_pos_as_xyz
'x,y,z'
'-x,-y,-z'
'-x,y,-z'
'x,-y,z'
'x+1/2,y+1/2,z'
'-x+1/2,-y+1/2,-z'
'-x+1/2,y+1/2,-z'
'x+1/2,-y+1/2,z'
loop_
_atom_site_label
_atom_site_fract_x
_atom_site_fract_y
_atom_site_fract_z
_atom_site_occupancy
Hg1 0.177 0.000 0.256 1
O1 0.088 0.500 0.459 1
F1 0.142 0.000 0.870 1
```

Peak list (10 most intense, 10 to 90 degrees two-theta, most intense first)
- hkl 1 1 -1, 28.35°, d = 3.148 Å, I = 100
- hkl 2 0 1, 29.89°, d = 2.989 Å, I = 84
- hkl 0 0 2, 29.49°, d = 3.029 Å, I = 45
- hkl 3 1 0, 43.12°, d = 2.098 Å, I = 43
- hkl 2 0 -1, 26.82°, d = 3.324 Å, I = 34
- hkl 2 0 0, 24.22°, d = 3.674 Å, I = 30
- hkl 1 1 0, 25.04°, d = 3.556 Å, I = 29
- hkl 3 1 -2, 50.29°, d = 1.814 Å, I = 25
- hkl 0 2 0, 44.60°, d = 2.032 Å, I = 24
- hkl 0 2 2, 54.39°, d = 1.687 Å, I = 23



Structure and calculated X-ray powder pattern of TiGa2Se4 (the GGA-PBE geometry in Alexandria; a wavelength of 1.5418 Å).

Structural model:
```
data_TiGa2Se4
_chemical_formula_sum 'Ti2 Ga4 Se8'
_symmetry_space_group_name_H-M 'I 4/m'
_symmetry_Int_Tables_number 87
_symmetry_space_group_name_Hall '-I 4'
_cell_length_a 7.556
_cell_length_b 7.556
_cell_length_c 6.524
_cell_angle_alpha 90.00
_cell_angle_beta 90.00
_cell_angle_gamma 90.00
loop_
_atom_site_label
_atom_site_fract_x
_atom_site_fract_y
_atom_site_fract_z
_atom_site_occupancy
Ti1 0.000 0.000 0.000 1
Ga1 0.000 0.500 0.250 1
Se1 0.160 0.313 0.000 1
```

Peak list (10 most intense, 10 to 90 degrees two-theta, most intense first)
- hkl 1 2 1, 29.77°, d = 3.001 Å, I = 100
- hkl 1 3 2, 47.15°, d = 1.928 Å, I = 60
- hkl 1 1 0, 16.59°, d = 5.343 Å, I = 53
- hkl 2 0 2, 36.39°, d = 2.469 Å, I = 43
- hkl 2 2 0, 33.54°, d = 2.672 Å, I = 29
- hkl 4 1 1, 51.82°, d = 1.764 Å, I = 27
- hkl 1 2 3, 49.87°, d = 1.829 Å, I = 23
- hkl 1 0 1, 17.96°, d = 4.938 Å, I = 18
- hkl 3 5 2, 79.60°, d = 1.204 Å, I = 16
- hkl 3 3 0, 51.30°, d = 1.781 Å, I = 16



Structure and calculated X-ray powder pattern of NdZrIn (the GGA-PBE geometry in Alexandria; a wavelength of 1.5418 Å).

Structural model:
```
data_NdZrIn
_chemical_formula_sum 'Nd8 Zr8 In8'
_symmetry_space_group_name_H-M 'F m m m'
_symmetry_Int_Tables_number 69
_symmetry_space_group_name_Hall '-F 2 2'
_cell_length_a 5.763
_cell_length_b 8.862
_cell_length_c 12.824
_cell_angle_alpha 90.00
_cell_angle_beta 90.00
_cell_angle_gamma 90.00
loop_
_atom_site_label
_atom_site_fract_x
_atom_site_fract_y
_atom_site_fract_z
_atom_site_occupancy
Nd1 0.000 0.174 0.000 1
Zr1 0.250 0.250 0.250 1
In1 0.000 0.000 0.381 1
```

Peak list (10 most intense, 10 to 90 degrees two-theta, most intense first)
- hkl 1 3 1, 34.84°, d = 2.575 Å, I = 100
- hkl 0 2 4, 34.53°, d = 2.597 Å, I = 84
- hkl 1 1 3, 27.86°, d = 3.202 Å, I = 79
- hkl 2 2 2, 39.84°, d = 2.263 Å, I = 72
- hkl 2 0 2, 34.11°, d = 2.628 Å, I = 62
- hkl 0 0 8, 57.54°, d = 1.602 Å, I = 32
- hkl 2 4 4, 60.08°, d = 1.540 Å, I = 30
- hkl 3 3 1, 57.69°, d = 1.598 Å, I = 23
- hkl 2 0 6, 53.34°, d = 1.718 Å, I = 23
- hkl 4 0 0, 64.73°, d = 1.440 Å, I = 19



Structure and calculated X-ray powder pattern of Ba2Li17Rh3 (the GGA-PBE geometry in Alexandria; a wavelength of 1.5418 Å).

Structural model:
```
data_Ba2Li17Rh3
_chemical_formula_sum 'Ba6 Li51 Rh9'
_symmetry_space_group_name_H-M 'R -3 m'
_symmetry_Int_Tables_number 166
_symmetry_space_group_name_Hall '-R 3 2"'
_cell_length_a 10.4694
_cell_length_b 10.4694
_cell_length_c 15.0335
_cell_angle_alpha 90.00
_cell_angle_beta 90.00
_cell_angle_gamma 120.00
loop_
_atom_site_label
_atom_site_fract_x
_atom_site_fract_y
_atom_site_fract_z
_atom_site_occupancy
Ba1 0.0000 0.0000 0.1694 1
Li1 0.0000 0.0000 0.4096 1
Li2 0.0000 0.2700 0.5000 1
Li3 0.0000 0.5000 0.0000 1
Li4 0.0071 0.5036 0.6677 1
Rh1 0.0000 0.5000 0.5000 1
```

Peak list (10 most intense, 10 to 90 degrees two-theta, most intense first)
- hkl 1 0 1, 11.40°, d = 7.764 Å, I = 100
- hkl 0 0 3, 17.70°, d = 5.011 Å, I = 86
- hkl 2 2 0, 34.26°, d = 2.617 Å, I = 61
- hkl 0 1 2, 15.31°, d = 5.787 Å, I = 60
- hkl 2 2 3, 38.82°, d = 2.320 Å, I = 60
- hkl 2 2 6, 50.42°, d = 1.810 Å, I = 39
- hkl 2 1 1, 26.68°, d = 3.341 Å, I = 32
- hkl 1 2 2, 28.63°, d = 3.118 Å, I = 31
- hkl 0 0 6, 35.84°, d = 2.506 Å, I = 22
- hkl 0 2 1, 20.46°, d = 4.340 Å, I = 21



Structure and calculated X-ray powder pattern of La2SmYHg2 (the GGA-PBE geometry in Alexandria; a wavelength of 1.5418 Å).

Structural model:
```
data_La2SmYHg2
_chemical_formula_sum 'La4 Sm2 Y2 Hg4'
_symmetry_space_group_name_H-M 'P m c 21'
_symmetry_Int_Tables_number 26
_cell_length_a 5.269
_cell_length_b 9.709
_cell_length_c 7.161
_cell_angle_alpha 90.00
_cell_angle_beta 90.00
_cell_angle_gamma 90.00
loop_
_symmetry_equiv_pos_as_xyz
'x,y,z'
'-x,-y,z+1/2'
'-x,y,z'
'x,-y,z+1/2'
loop_
_atom_site_label
_atom_site_fract_x
_atom_site_fract_y
_atom_site_fract_z
_atom_site_occupancy
La1 0.000 0.056 0.000 1
La2 0.500 0.173 0.310 1
Sm1 0.000 0.330 0.662 1
Y1 0.500 0.448 0.972 1
Hg1 0.000 0.359 0.220 1
Hg2 0.500 0.161 0.756 1
```

Peak list (10 most intense, 10 to 90 degrees two-theta, most intense first)
- hkl 1 3 0, 32.47°, d = 2.758 Å, I = 100
- hkl 1 1 2, 31.59°, d = 2.833 Å, I = 96
- hkl 2 0 0, 34.03°, d = 2.634 Å, I = 61
- hkl 1 3 2, 41.33°, d = 2.185 Å, I = 31
- hkl 0 2 2, 31.04°, d = 2.882 Å, I = 29
- hkl 1 0 2, 30.18°, d = 2.961 Å, I = 26
- hkl 1 2 1, 27.93°, d = 3.195 Å, I = 21
- hkl 0 0 2, 24.87°, d = 3.580 Å, I = 20
- hkl 2 0 2, 42.61°, d = 2.122 Å, I = 19
- hkl 2 2 2, 46.72°, d = 1.944 Å, I = 19



Structure and calculated X-ray powder pattern of Hf5B2Sb (the GGA-PBE geometry in Alexandria; a wavelength of 1.5418 Å).

Structural model:
```
data_Hf5B2Sb
_chemical_formula_sum 'Hf20 B8 Sb4'
_symmetry_space_group_name_H-M 'I 4/m c m'
_symmetry_Int_Tables_number 140
_symmetry_space_group_name_Hall '-I 4 2c'
_cell_length_a 6.749
_cell_length_b 6.749
_cell_length_c 12.418
_cell_angle_alpha 90.00
_cell_angle_beta 90.00
_cell_angle_gamma 90.00
loop_
_atom_site_label
_atom_site_fract_x
_atom_site_fract_y
_atom_site_fract_z
_atom_site_occupancy
Hf1 0.000 0.000 0.000 1
Hf2 0.158 0.342 0.128 1
B1 0.152 0.348 0.500 1
Sb1 0.000 0.000 0.250 1
```

Peak list (10 most intense, 10 to 90 degrees two-theta, most intense first)
- hkl 2 1 1, 30.48°, d = 2.933 Å, I = 100
- hkl 2 1 3, 36.85°, d = 2.439 Å, I = 80
- hkl 3 1 0, 42.35°, d = 2.134 Å, I = 74
- hkl 1 1 4, 34.46°, d = 2.602 Å, I = 70
- hkl 2 0 4, 39.44°, d = 2.285 Å, I = 64
- hkl 3 3 4, 65.98°, d = 1.416 Å, I = 40
- hkl 3 1 8, 75.78°, d = 1.255 Å, I = 32
- hkl 2 1 5, 47.40°, d = 1.918 Å, I = 29
- hkl 4 0 4, 62.67°, d = 1.482 Å, I = 29
- hkl 2 1 7, 60.54°, d = 1.529 Å, I = 19



Structure and calculated X-ray powder pattern of Sm3Zn4Cd4 (the GGA-PBE geometry in Alexandria; a wavelength of 1.5418 Å).

Structural model:
```
data_Sm3Zn4Cd4
_chemical_formula_sum 'Sm3 Zn4 Cd4'
_symmetry_space_group_name_H-M 'P -1'
_symmetry_Int_Tables_number 2
_cell_length_a 3.689
_cell_length_b 4.698
_cell_length_c 14.751
_cell_angle_alpha 80.90
_cell_angle_beta 82.82
_cell_angle_gamma 89.99
loop_
_symmetry_equiv_pos_as_xyz
'x,y,z'
'-x,-y,-z'
loop_
_atom_site_label
_atom_site_fract_x
_atom_site_fract_y
_atom_site_fract_z
_atom_site_occupancy
Sm1 0.000 0.000 0.000 1
Sm2 0.142 0.642 0.716 1
Zn1 0.314 0.815 0.370 1
Zn2 0.457 0.455 0.090 1
Cd1 0.261 0.261 0.480 1
Cd2 0.407 0.907 0.185 1
```

Peak list (10 most intense, 10 to 90 degrees two-theta, most intense first)
- hkl 1 1 -1, 33.28°, d = 2.692 Å, I = 100
- hkl 0 1 6, 39.30°, d = 2.293 Å, I = 49
- hkl 1 0 4, 32.55°, d = 2.751 Å, I = 43
- hkl 0 2 1, 38.32°, d = 2.349 Å, I = 32
- hkl 1 2 5, 51.14°, d = 1.786 Å, I = 24
- hkl 2 1 7, 64.87°, d = 1.437 Å, I = 21
- hkl 2 0 1, 49.41°, d = 1.845 Å, I = 15
- hkl 2 2 2, 64.20°, d = 1.451 Å, I = 13
- hkl 1 3 0, 66.10°, d = 1.414 Å, I = 13
- hkl 0 4 2, 82.09°, d = 1.174 Å, I = 11



Structure and calculated X-ray powder pattern of LaTb6Pm3 (the GGA-PBE geometry in Alexandria; a wavelength of 1.5418 Å).

Structural model:
```
data_LaTb6Pm3
_chemical_formula_sum 'La4 Tb24 Pm12'
_symmetry_space_group_name_H-M 'C m c 21'
_symmetry_Int_Tables_number 36
_cell_length_a 11.070
_cell_length_b 19.054
_cell_length_c 6.358
_cell_angle_alpha 90.00
_cell_angle_beta 90.00
_cell_angle_gamma 90.00
loop_
_symmetry_equiv_pos_as_xyz
'x,y,z'
'-x,-y,z+1/2'
'-x,y,z'
'x,-y,z+1/2'
'x+1/2,y+1/2,z'
'-x+1/2,-y+1/2,z+1/2'
'-x+1/2,y+1/2,z'
'x+1/2,-y+1/2,z+1/2'
loop_
_atom_site_label
_atom_site_fract_x
_atom_site_fract_y
_atom_site_fract_z
_atom_site_occupancy
La1 0.000 0.193 0.000 1
Tb1 0.000 0.039 0.252 1
Tb2 0.000 0.275 0.477 1
Tb3 0.167 0.456 0.578 1
Tb4 0.240 0.291 0.751 1
Pm1 0.000 0.388 0.049 1
Pm2 0.178 0.113 0.661 1
```

Peak list (10 most intense, 10 to 90 degrees two-theta, most intense first)
- hkl 0 6 1, 31.49°, d = 2.841 Å, I = 100
- hkl 2 4 1, 28.40°, d = 3.143 Å, I = 88
- hkl 2 2 2, 33.85°, d = 2.648 Å, I = 66
- hkl 3 3 1, 31.37°, d = 2.852 Å, I = 65
- hkl 3 5 0, 33.78°, d = 2.654 Å, I = 36
- hkl 1 1 2, 29.61°, d = 3.017 Å, I = 31
- hkl 2 0 2, 32.49°, d = 2.756 Å, I = 31
- hkl 2 10 2, 58.90°, d = 1.568 Å, I = 26
- hkl 2 4 3, 49.90°, d = 1.828 Å, I = 22
- hkl 3 3 0, 27.97°, d = 3.191 Å, I = 22



- Number 5 is which compound?
  La2SmYHg2